Entry 1:
PrSmTmMg: theoretical powder XRD pattern (Cu Kα X-rays), based on a structure optimized by DFT (PBE).
Neutral-atom scattering factors, no anomalous dispersion.

Top 10 peaks for 15° ≤ 2θ ≤ 90°, in order of falling intensity:
Position (°2θ), I_rel
31.23, 100
34.26, 40
59.46, 32
53.58, 21
26.01, 21
49.23, 14
39.88, 14
65.15, 11
67.08, 9
87.57, 9

Structure:
```
PrSmTmMg
1.0
3.702 0.000 0.000
0.000 3.702 0.000
0.000 0.000 9.039
Pr Sm Tm Mg
1 1 1 1
Direct
0.000 0.000 0.000 Pr
0.000 0.000 0.467 Sm
0.500 0.500 0.729 Tm
0.500 0.500 0.238 Mg
```

***

Entry 2:
Nb2In2Rh3: theoretical powder XRD pattern (Cu Kα X-rays), based on a structure optimized by DFT (PBE).
Neutral-atom scattering factors, no anomalous dispersion.

Top 10 peaks for 15° ≤ 2θ ≤ 90°, in order of falling intensity:
Position (°2θ), I_rel
40.02, 100
72.66, 15
72.74, 14
36.62, 13
57.84, 10
57.96, 5
86.33, 5
23.16, 5
24.19, 5
77.38, 5

Structure:
```
Nb2In2Rh3
1.0
7.795 0.000 0.000
0.000 4.507 0.000
-2.586 0.000 7.366
Nb In Rh
4 4 6
Direct
0.118 0.000 0.356 Nb
0.382 0.500 0.644 Nb
0.618 0.500 0.356 Nb
0.882 0.000 0.644 Nb
0.130 0.500 0.889 In
0.370 0.000 0.111 In
0.630 0.000 0.889 In
0.870 0.500 0.111 In
0.000 0.500 0.500 Rh
0.238 0.000 0.713 Rh
0.262 0.500 0.287 Rh
0.500 0.000 0.500 Rh
0.738 0.500 0.713 Rh
0.762 0.000 0.287 Rh
```

***

Entry 3:
Sm2ScSb4: theoretical powder XRD pattern (Cu Kα X-rays), based on a structure optimized by DFT (PBE).
Neutral-atom scattering factors, no anomalous dispersion.

Top 10 peaks for 15° ≤ 2θ ≤ 90°, in order of falling intensity:
Position (°2θ), I_rel
33.43, 100
26.03, 43
41.94, 38
38.15, 29
71.21, 22
30.39, 17
57.98, 17
50.03, 14
53.50, 14
31.59, 13

Structure:
```
Sm2ScSb4
1.0
4.308 0.000 0.000
0.000 4.308 0.000
0.000 0.000 11.278
Sm Sc Sb
2 1 4
Direct
0.000 0.500 0.217 Sm
0.500 0.000 0.783 Sm
0.000 0.000 0.500 Sc
0.000 0.000 0.000 Sb
0.000 0.500 0.670 Sb
0.500 0.000 0.330 Sb
0.500 0.500 0.000 Sb
```

***

Entry 4:
CrPt2Rh2: theoretical powder XRD pattern (Cu Kα X-rays), based on a structure optimized by DFT (PBE).
Neutral-atom scattering factors, no anomalous dispersion.

Top 10 peaks for 15° ≤ 2θ ≤ 90°, in order of falling intensity:
Position (°2θ), I_rel
43.10, 100
36.34, 72
30.28, 63
43.60, 30
51.71, 21
57.61, 19
74.59, 18
79.02, 17
53.58, 14
71.10, 12

Structure:
```
CrPt2Rh2
1.0
4.197 0.000 0.000
-2.099 3.635 0.000
0.000 0.000 10.116
Cr Pt Rh
2 4 4
Direct
0.000 0.000 0.250 Cr
0.000 0.000 0.750 Cr
0.000 0.000 0.000 Pt
0.000 0.000 0.500 Pt
0.333 0.667 0.250 Pt
0.667 0.333 0.750 Pt
0.333 0.667 0.620 Rh
0.333 0.667 0.880 Rh
0.667 0.333 0.120 Rh
0.667 0.333 0.380 Rh
```

***

Entry 5:
Ca2In3Ge: theoretical powder XRD pattern (Cu Kα X-rays), based on a structure optimized by DFT (PBE).
Neutral-atom scattering factors, no anomalous dispersion.

Top 10 peaks for 15° ≤ 2θ ≤ 90°, in order of falling intensity:
Position (°2θ), I_rel
29.90, 100
20.45, 84
38.46, 72
30.28, 52
43.95, 51
57.94, 42
37.53, 40
41.60, 30
48.96, 26
43.11, 25

Structure:
```
Ca2In3Ge
1.0
4.342 0.000 0.000
0.000 4.793 0.000
0.000 0.000 8.047
Ca In Ge
2 3 1
Direct
0.000 0.000 0.000 Ca
0.000 0.500 0.464 Ca
0.500 0.000 0.635 In
0.500 0.500 0.153 In
0.500 0.500 0.807 In
0.500 0.000 0.306 Ge
```

***

Entry 6:
YTm6Tl4: theoretical powder XRD pattern (Cu Kα X-rays), based on a structure optimized by DFT (PBE).
Neutral-atom scattering factors, no anomalous dispersion.

Top 10 peaks for 15° ≤ 2θ ≤ 90°, in order of falling intensity:
Position (°2θ), I_rel
31.87, 100
36.12, 91
36.75, 87
31.15, 43
30.08, 41
62.53, 38
59.15, 25
49.19, 22
26.19, 18
27.40, 18

Structure:
```
YTm6Tl4
1.0
9.946 0.000 0.000
-4.973 8.613 0.000
0.000 0.000 3.704
Y Tm Tl
1 6 4
Direct
0.000 0.000 0.000 Y
0.191 0.381 0.500 Tm
0.191 0.809 0.500 Tm
0.539 0.078 0.000 Tm
0.539 0.461 0.000 Tm
0.619 0.809 0.500 Tm
0.922 0.461 0.000 Tm
0.324 0.162 0.500 Tl
0.333 0.667 0.000 Tl
0.838 0.162 0.500 Tl
0.838 0.676 0.500 Tl
```